Record 1
This entry pairs a crystal structure of Nd2NiB10 with its calculated powder XRD pattern. Radiation: a wavelength of 1.5418 Å. Structure: a GGA-PBE-relaxed structure.

Crystal structure
```
Nd2NiB10
1.0
5.6372 0.0000 0.0000
0.0000 11.2344 0.0000
0.0000 0.0000 4.1956
Nd Ni B
4 2 20
direct
0.1910 0.1368 0.0000
0.3090 0.6368 0.0000
0.6910 0.3632 0.0000
0.8090 0.8632 0.0000
0.0000 0.5000 0.5000
0.5000 0.0000 0.5000
0.0356 0.3125 0.5000
0.1256 0.9586 0.5000
0.1552 0.8024 0.5000
0.2035 0.3856 0.1998
0.2035 0.3856 0.8002
0.2965 0.8856 0.1998
0.2965 0.8856 0.8002
0.3448 0.3024 0.5000
0.3744 0.4586 0.5000
0.4644 0.8125 0.5000
0.5356 0.1875 0.5000
0.6256 0.5414 0.5000
0.6552 0.6976 0.5000
0.7035 0.1144 0.1998
0.7035 0.1144 0.8002
0.7965 0.6144 0.1998
0.7965 0.6144 0.8002
0.8448 0.1976 0.5000
0.8744 0.0414 0.5000
0.9644 0.6875 0.5000
```

Principal peaks in the range 10° ≤ 2θ ≤ 90°, most intense first:
- hkl 1 2 1, 30.97°, I = 100
- hkl 0 4 1, 38.54°, I = 81
- hkl 1 2 0, 22.34°, I = 67
- hkl 1 2 2, 49.11°, I = 38
- hkl 1 1 1, 27.67°, I = 27
- hkl 0 0 1, 21.18°, I = 27
- hkl 2 4 0, 45.60°, I = 19
- hkl 0 0 2, 43.12°, I = 19
- hkl 2 1 1, 39.34°, I = 18
- hkl 0 4 0, 31.86°, I = 16

=====

Record 2
This entry pairs a crystal structure of NdBO3 with its calculated powder XRD pattern. Radiation: a wavelength of 1.5418 Å. Structure: a GGA-PBE-relaxed structure.

Crystal structure
```
NdBO3
1.0
5.8036 0.0000 0.0000
0.0000 5.0836 0.0000
0.0000 0.0000 8.1423
Nd B O
4 4 12
direct
0.2423 0.2500 0.0852
0.2577 0.7500 0.5852
0.7423 0.2500 0.4148
0.7577 0.7500 0.9148
0.0804 0.2500 0.7377
0.4196 0.7500 0.2377
0.5804 0.2500 0.7623
0.9196 0.7500 0.2623
0.0852 0.0154 0.8237
0.0852 0.4846 0.8237
0.0952 0.2500 0.5692
0.4048 0.7500 0.0692
0.4148 0.5154 0.3237
0.4148 0.9846 0.3237
0.5852 0.0154 0.6763
0.5852 0.4846 0.6763
0.5952 0.2500 0.9308
0.9048 0.7500 0.4308
0.9148 0.5154 0.1763
0.9148 0.9846 0.1763
```

Principal peaks in the range 10° ≤ 2θ ≤ 90°, most intense first:
- hkl 1 1 1, 25.74°, I = 100
- hkl 1 0 2, 26.75°, I = 49
- hkl 1 2 2, 44.84°, I = 36
- hkl 2 1 3, 49.35°, I = 27
- hkl 0 1 3, 37.57°, I = 26
- hkl 3 1 1, 51.79°, I = 21
- hkl 2 1 1, 37.35°, I = 19
- hkl 0 1 1, 20.60°, I = 18
- hkl 2 0 0, 30.81°, I = 16
- hkl 2 2 0, 47.56°, I = 16

=====

Record 3
This entry pairs a crystal structure of NdBO3 with its calculated powder XRD pattern. Radiation: a wavelength of 1.5418 Å. Structure: a GGA-PBE-relaxed structure.

Crystal structure
```
NdBO3
1.0
6.3936 0.0000 0.0000
-1.9094 6.3146 0.0000
-1.7817 -0.9672 6.2846
Nd B O
4 4 12
direct
0.0470 0.2641 0.3315
0.4421 0.8099 0.2212
0.5579 0.1901 0.7788
0.9530 0.7359 0.6685
0.0162 0.2412 0.7790
0.4807 0.2716 0.2664
0.5193 0.7284 0.7336
0.9838 0.7588 0.2210
0.0453 0.7765 0.0384
0.0893 0.6447 0.3664
0.1496 0.1343 0.7131
0.3753 0.1289 0.3866
0.3831 0.7977 0.8358
0.4255 0.4557 0.2495
0.5745 0.5443 0.7505
0.6169 0.2023 0.1642
0.6247 0.8711 0.6134
0.8504 0.8657 0.2869
0.9107 0.3553 0.6336
0.9547 0.2235 0.9616
```

Principal peaks in the range 10° ≤ 2θ ≤ 90°, most intense first:
- hkl -1 1 1, 20.68°, I = 100
- hkl 0 2 0, 28.61°, I = 77
- hkl 1 1 -1, 24.16°, I = 77
- hkl 1 0 1, 23.76°, I = 76
- hkl 0 0 2, 28.40°, I = 60
- hkl 2 0 0, 30.64°, I = 58
- hkl 2 -1 2, 46.25°, I = 34
- hkl 2 0 -2, 35.10°, I = 33
- hkl 0 1 -2, 29.83°, I = 31
- hkl -1 1 3, 44.37°, I = 31

=====

Record 4
This entry pairs a crystal structure of NdSiBO5 with its calculated powder XRD pattern. Radiation: a wavelength of 1.5418 Å. Structure: a GGA-PBE-relaxed structure.

Crystal structure
```
NdSiBO5
1.0
6.8730 0.0000 0.0000
-3.4365 5.9522 0.0000
0.0000 0.0000 6.7011
Nd Si B O
3 3 3 15
direct
0.0012 0.4156 0.0000
0.4144 0.9988 0.6667
0.5844 0.5856 0.3333
0.4189 0.0006 0.1647
0.5817 0.5811 0.8314
0.9994 0.4183 0.4981
0.1149 0.1007 0.3601
0.8993 0.0141 0.6935
0.9859 0.8851 0.0268
0.0615 0.0062 0.5597
0.1411 0.3338 0.3512
0.1440 0.6053 0.6658
0.1928 0.8589 0.0179
0.3513 0.1574 0.3085
0.3947 0.5387 0.9992
0.4613 0.8560 0.3325
0.5262 0.3895 0.6662
0.6105 0.1367 0.9996
0.6662 0.8072 0.6846
0.8061 0.6487 0.9752
0.8426 0.1939 0.6419
0.8633 0.4738 0.3329
0.9447 0.9385 0.2263
0.9938 0.0553 0.8930
```

Principal peaks in the range 10° ≤ 2θ ≤ 90°, most intense first:
- hkl 1 0 1, 19.95°, I = 100
- hkl 0 1 2, 30.62°, I = 96
- hkl 1 1 0, 25.93°, I = 83
- hkl 2 1 2, 48.76°, I = 67
- hkl 2 0 0, 30.03°, I = 61
- hkl 1 2 1, 42.38°, I = 57
- hkl 1 3 0, 55.68°, I = 26
- hkl 2 0 2, 40.54°, I = 23
- hkl 1 2 4, 70.02°, I = 20
- hkl 0 3 2, 53.69°, I = 18